1.
# Zr5In3Ag
Calculated XRD peak list, Cu Kα (weighted mean of Kα1 and Kα2). Input: the GGA-PBE geometry in OQMD.

Top 10 peaks for 2θ from 5° to 70°, in order of falling intensity:
h k l  2θ/deg  d/Å  I/Imax
3 0 0  35.41  2.535  100.0
1 1 2  36.41  2.468  90.2
2 2 2  51.70  1.768  28.7
4 1 2  64.23  1.450  26.0
2 1 1  34.64  2.589  16.7
3 3 0  63.58  1.463  12.7
3 0 2  47.04  1.932  8.4
0 0 2  29.95  2.983  7.7
4 2 1  66.98  1.397  7.2
3 1 1  45.62  1.989  7.2

Cell and atoms:
```
data_Zr5In3Ag
_space_group_name_H-M_alt 'P 63/m c m'
_space_group_IT_number 193
_space_group_name_Hall '-P 6c 2'
_cell_length_a 8.7808
_cell_length_b 8.7808
_cell_length_c 5.9668
_cell_angle_alpha 90.00
_cell_angle_beta 90.00
_cell_angle_gamma 120.00
loop_
_atom_site_label
_atom_site_type_symbol
_atom_site_fract_x
_atom_site_fract_y
_atom_site_fract_z
_atom_site_occupancy
Zr1 Zr 0.0000 0.3017 0.2500 1
Zr2 Zr 0.3333 0.6667 0.0000 1
In1 In 0.0000 0.3622 0.7500 1
Ag1 Ag 0.0000 0.0000 0.0000 1
```


2.
# BaSrGa4Pt2
Calculated XRD peak list, Cu Kα (weighted mean of Kα1 and Kα2). Input: the GGA-PBE geometry in OQMD.

Top 10 peaks for 2θ from 5° to 70°, in order of falling intensity:
h k l  2θ/deg  d/Å  I/Imax
1 1 3  33.40  2.683  100.0
0 0 2  15.28  5.799  72.0
1 0 4  33.17  2.701  67.3
2 1 1  32.77  2.733  62.3
3 1 1  42.85  2.111  54.5
0 2 0  41.96  2.153  41.6
3 1 3  48.51  1.877  36.3
1 1 1  25.11  3.547  35.4
2 0 0  23.96  3.714  33.0
1 2 4  54.50  1.684  32.7

Cell and atoms:
```
data_BaSrGa4Pt2
_space_group_name_H-M_alt 'A m m 2'
_space_group_IT_number 38
_cell_length_a 7.428
_cell_length_b 4.306
_cell_length_c 11.599
_cell_angle_alpha 90.00
_cell_angle_beta 90.00
_cell_angle_gamma 90.00
loop_
_space_group_symop_operation_xyz
'x,y,z'
'-x,-y,z'
'-x,y,z'
'x,-y,z'
'x,y+1/2,z+1/2'
'-x,-y+1/2,z+1/2'
'-x,y+1/2,z+1/2'
'x,-y+1/2,z+1/2'
loop_
_atom_site_label
_atom_site_type_symbol
_atom_site_fract_x
_atom_site_fract_y
_atom_site_fract_z
_atom_site_occupancy
Ba1 Ba 0.000 0.000 0.000 1
Sr1 Sr 0.500 0.000 0.113 1
Ga1 Ga 0.196 0.000 0.723 1
Ga2 Ga 0.312 0.000 0.387 1
Pt1 Pt 0.000 0.000 0.274 1
Pt2 Pt 0.500 0.000 0.838 1
```